BaPrGaO4: simulated powder X-ray diffraction pattern (CuKα), based on a DFT-relaxed cell (GGA-PBE, Alexandria).
Kinematic intensities with the Lorentz-polarization factor, no thermal factor.

Cell: 5.898 5.949 7.322 Å, 90.00 108.01 90.00°
Fractional coordinates of all 14 atoms:
Ba: 0.209 0.250 0.428
Ba: 0.791 0.750 0.572
Pr: 0.299 0.250 0.958
Pr: 0.701 0.750 0.042
Ga: 0.246 0.750 0.178
Ga: 0.754 0.250 0.822
O: 0.043 0.750 0.927
O: 0.051 0.750 0.334
O: 0.468 0.514 0.211
O: 0.468 0.986 0.211
O: 0.532 0.014 0.789
O: 0.532 0.486 0.789
O: 0.949 0.250 0.666
O: 0.957 0.250 0.073

Peak list (10 most intense, 2θ = 10–90°, by angle)
(1 1 0), 21.8 deg, I 762
(1 0 1), 23.2 deg, I 296
(0 0 2), 25.6 deg, I 216
(1 1 -2), 29.7 deg, I 1000
(0 2 0), 30.0 deg, I 655
(2 0 0), 31.9 deg, I 275
(2 1 -1), 34.1 deg, I 278
(1 1 2), 37.6 deg, I 799
(0 2 2), 39.9 deg, I 312
(2 2 0), 44.4 deg, I 345